No. 1
For Lu2TlHg, a structure optimized by DFT (GGA-PBE) gives the simulated X-ray powder pattern in this record (Cu Ka).
No peak broadening, texture or thermal motion is included.

Structure:
```
data_Lu2TlHg
_cell_length_a 7.394
_cell_length_b 7.394
_cell_length_c 7.394
_cell_angle_alpha 90.00
_cell_angle_beta 90.00
_cell_angle_gamma 90.00
_space_group_name_H-M_alt 'F m -3 m'
_space_group_IT_number 225
_space_group_name_Hall '-F 4 2 3'
loop_
_atom_site_label
_atom_site_type_symbol
_atom_site_fract_x
_atom_site_fract_y
_atom_site_fract_z
Lu1 Lu 0.250 0.250 0.250
Tl1 Tl 0.000 0.000 0.000
Hg1 Hg 0.000 0.000 0.500
```

The 4 most intense peaks (2θ from 5° to 70°), sorted by position:
d_spacing  two_theta  I (rel.)
3.697  24.1  1
2.614  34.3  100
1.849  49.3  18
1.509  61.4  38

---

No. 2
For BiSe, a structure optimized by DFT (GGA-PBE) gives the simulated X-ray powder pattern in this record (Cu Ka).
No peak broadening, texture or thermal motion is included.

Structure:
```
data_BiSe
_cell_length_a 5.775
_cell_length_b 7.639
_cell_length_c 8.297
_cell_angle_alpha 90.00
_cell_angle_beta 132.18
_cell_angle_gamma 90.00
_space_group_name_H-M_alt 'P 1 21/c 1'
_space_group_IT_number 14
loop_
_space_group_symop_operation_xyz
'x,y,z'
'-x,-y,-z'
'-x,y+1/2,-z+1/2'
'x,-y+1/2,z+1/2'
loop_
_atom_site_label
_atom_site_type_symbol
_atom_site_fract_x
_atom_site_fract_y
_atom_site_fract_z
Bi1 Bi 0.129 0.183 0.111
Se1 Se 0.252 0.651 0.284
```

The 10 most intense peaks (2θ from 5° to 70°), sorted by position:
d_spacing  two_theta  I (rel.)
4.790  18.5  36
4.279  20.8  50
4.140  21.5  45
3.820  23.3  51
3.244  27.5  78
2.886  31.0  72
2.852  31.4  100
2.353  38.3  31
2.175  41.5  34
1.998  45.4  33

---

No. 3
For Ac2CuGe, a structure optimized by DFT (GGA-PBE) gives the simulated X-ray powder pattern in this record (Cu Ka).
No peak broadening, texture or thermal motion is included.

Structure:
```
data_Ac2CuGe
_cell_length_a 7.702
_cell_length_b 7.702
_cell_length_c 7.702
_cell_angle_alpha 90.00
_cell_angle_beta 90.00
_cell_angle_gamma 90.00
_space_group_name_H-M_alt 'F m -3 m'
_space_group_IT_number 225
_space_group_name_Hall '-F 4 2 3'
loop_
_atom_site_label
_atom_site_type_symbol
_atom_site_fract_x
_atom_site_fract_y
_atom_site_fract_z
Ac1 Ac 0.250 0.250 0.250
Cu1 Cu 0.000 0.000 0.000
Ge1 Ge 0.000 0.000 0.500
```

The 7 most intense peaks (2θ from 5° to 70°), sorted by position:
d_spacing  two_theta  I (rel.)
3.851  23.1  30
2.723  32.9  100
2.223  40.6  10
1.926  47.2  18
1.722  53.2  14
1.572  58.7  39
1.362  69.0  12

---

No. 4
For HfScCo2, a structure optimized by DFT (GGA-PBE) gives the simulated X-ray powder pattern in this record (Cu Ka).
No peak broadening, texture or thermal motion is included.

Structure:
```
data_HfScCo2
_cell_length_a 6.290
_cell_length_b 6.290
_cell_length_c 6.290
_cell_angle_alpha 90.00
_cell_angle_beta 90.00
_cell_angle_gamma 90.00
_space_group_name_H-M_alt 'F m -3 m'
_space_group_IT_number 225
_space_group_name_Hall '-F 4 2 3'
loop_
_atom_site_label
_atom_site_type_symbol
_atom_site_fract_x
_atom_site_fract_y
_atom_site_fract_z
Hf1 Hf 0.000 0.000 0.000
Sc1 Sc 0.000 0.000 0.500
Co1 Co 0.250 0.250 0.250
```

The 8 most intense peaks (2θ from 5° to 70°), sorted by position:
d_spacing  two_theta  I (rel.)
3.632  24.5  35
3.145  28.4  10
2.224  40.6  100
1.897  48.0  19
1.816  50.2  3
1.573  58.7  16
1.443  64.6  8
1.407  66.5  4

---

No. 5
For AlHO2, a structure optimized by DFT (GGA-PBE) gives the simulated X-ray powder pattern in this record (Cu Ka).
No peak broadening, texture or thermal motion is included.

Structure:
```
data_AlHO2
_cell_length_a 12.393
_cell_length_b 2.889
_cell_length_c 3.718
_cell_angle_alpha 90.00
_cell_angle_beta 90.00
_cell_angle_gamma 90.00
_space_group_name_H-M_alt 'P n m a'
_space_group_IT_number 62
loop_
_space_group_symop_operation_xyz
'x,y,z'
'-x,-y,-z'
'-x+1/2,-y,z+1/2'
'x+1/2,y,-z+1/2'
'x+1/2,-y+1/2,-z+1/2'
'-x+1/2,y+1/2,z+1/2'
'-x,y+1/2,-z'
'x,-y+1/2,z'
loop_
_atom_site_label
_atom_site_type_symbol
_atom_site_fract_x
_atom_site_fract_y
_atom_site_fract_z
Al1 Al 0.068 0.250 0.249
H1 H 0.225 0.750 0.076
O1 O 0.039 0.250 0.749
O2 O 0.169 0.750 0.259
```

The 10 most intense peaks (2θ from 5° to 70°), sorted by position:
d_spacing  two_theta  I (rel.)
6.196  14.3  100
3.188  28.0  54
2.618  34.3  8
2.141  42.2  7
2.113  42.8  65
1.859  49.0  23
1.680  54.6  8
1.531  60.5  21
1.444  64.5  9
1.396  67.1  26

---

No. 6
For Ho3ReO8, a structure optimized by DFT (GGA-PBE) gives the simulated X-ray powder pattern in this record (Cu Ka).
No peak broadening, texture or thermal motion is included.

Structure:
```
data_Ho3ReO8
_cell_length_a 7.252
_cell_length_b 6.028
_cell_length_c 14.471
_cell_angle_alpha 90.00
_cell_angle_beta 111.45
_cell_angle_gamma 90.00
_space_group_name_H-M_alt 'P 1 21/c 1'
_space_group_IT_number 14
loop_
_space_group_symop_operation_xyz
'x,y,z'
'-x,-y,-z'
'-x,y+1/2,-z+1/2'
'x,-y+1/2,z+1/2'
loop_
_atom_site_label
_atom_site_type_symbol
_atom_site_fract_x
_atom_site_fract_y
_atom_site_fract_z
Ho1 Ho 0.094 0.244 0.202
Ho2 Ho 0.159 0.202 0.444
Ho3 Ho 0.390 0.694 0.332
Re1 Re 0.321 0.745 0.090
O1 O 0.083 0.694 0.979
O2 O 0.148 0.026 0.842
O3 O 0.165 0.650 0.171
O4 O 0.187 0.526 0.827
O5 O 0.246 0.045 0.096
O6 O 0.375 0.057 0.589
O7 O 0.466 0.205 0.786
O8 O 0.478 0.700 0.519
```

The 10 most intense peaks (2θ from 5° to 70°), sorted by position:
d_spacing  two_theta  I (rel.)
3.084  29.0  11
3.079  29.0  10
3.014  29.6  30
2.993  29.9  16
2.942  30.4  100
2.124  42.6  12
2.040  44.4  13
1.726  53.1  17
1.689  54.3  14
1.613  57.1  9

---

No. 7
For Li2PH4O6, a structure optimized by DFT (GGA-PBE) gives the simulated X-ray powder pattern in this record (Cu Ka).
No peak broadening, texture or thermal motion is included.

Structure:
```
data_Li2PH4O6
_cell_length_a 8.003
_cell_length_b 5.249
_cell_length_c 13.908
_cell_angle_alpha 90.00
_cell_angle_beta 116.12
_cell_angle_gamma 90.00
_space_group_name_H-M_alt 'P 1 21/c 1'
_space_group_IT_number 14
loop_
_space_group_symop_operation_xyz
'x,y,z'
'-x,-y,-z'
'-x,y+1/2,-z+1/2'
'x,-y+1/2,z+1/2'
loop_
_atom_site_label
_atom_site_type_symbol
_atom_site_fract_x
_atom_site_fract_y
_atom_site_fract_z
Li1 Li 0.009 0.058 0.324
Li2 Li 0.395 0.551 0.254
P1 P 0.175 0.042 0.158
H1 H 0.216 0.072 0.528
H2 H 0.248 0.527 0.394
H3 H 0.306 0.591 0.969
H4 H 0.456 0.640 0.455
O1 O 0.040 0.562 0.699
O2 O 0.097 0.554 0.531
O3 O 0.185 0.165 0.658
O4 O 0.244 0.070 0.466
O5 O 0.362 0.571 0.388
O6 O 0.363 0.593 0.702
```

The 10 most intense peaks (2θ from 5° to 70°), sorted by position:
d_spacing  two_theta  I (rel.)
7.186  12.3  100
6.268  14.1  97
4.839  18.3  88
4.374  20.3  76
3.957  22.5  41
3.477  25.6  64
3.261  27.3  81
3.154  28.3  53
2.980  30.0  67
2.625  34.2  56

---

No. 8
For CsNdTe2, a structure optimized by DFT (GGA-PBE) gives the simulated X-ray powder pattern in this record (Cu Ka).
No peak broadening, texture or thermal motion is included.

Structure:
```
data_CsNdTe2
_cell_length_a 4.6833
_cell_length_b 4.6833
_cell_length_c 26.8586
_cell_angle_alpha 90.00
_cell_angle_beta 90.00
_cell_angle_gamma 120.00
_space_group_name_H-M_alt 'R -3 m'
_space_group_IT_number 166
_space_group_name_Hall '-R 3 2"'
loop_
_atom_site_label
_atom_site_type_symbol
_atom_site_fract_x
_atom_site_fract_y
_atom_site_fract_z
Cs1 Cs 0.0000 0.0000 0.0000
Nd1 Nd 0.0000 0.0000 0.5000
Te1 Te 0.0000 0.0000 0.2316
```

The 10 most intense peaks (2θ from 5° to 70°), sorted by position:
d_spacing  two_theta  I (rel.)
8.953  9.9  11
3.472  25.7  100
2.586  34.7  33
2.342  38.4  38
1.941  46.8  19
1.842  49.5  9
1.735  52.8  14
1.618  56.9  10
1.495  62.1  17
1.394  67.1  12

---

No. 9
For U7Se12, a structure optimized by DFT (GGA-PBE) gives the simulated X-ray powder pattern in this record (Cu Ka).
No peak broadening, texture or thermal motion is included.

Structure:
```
data_U7Se12
_cell_length_a 11.4973
_cell_length_b 11.4973
_cell_length_c 3.9226
_cell_angle_alpha 90.00
_cell_angle_beta 90.00
_cell_angle_gamma 120.00
_space_group_name_H-M_alt 'P -6'
_space_group_IT_number 174
loop_
_space_group_symop_operation_xyz
'x,y,z'
'-x+y,-x,-z'
'-y,x-y,z'
'x,y,-z'
'-x+y,-x,z'
'-y,x-y,-z'
loop_
_atom_site_label
_atom_site_type_symbol
_atom_site_fract_x
_atom_site_fract_y
_atom_site_fract_z
U1 U 0.0000 0.0000 0.0000
U2 U 0.1428 0.7142 0.0000
U3 U 0.4414 0.1490 0.5000
Se1 Se 0.0007 0.2517 0.0000
Se2 Se 0.1443 0.5253 0.5000
Se3 Se 0.2115 0.2103 0.5000
Se4 Se 0.5138 0.3688 0.0000
```

The 10 most intense peaks (2θ from 5° to 70°), sorted by position:
d_spacing  two_theta  I (rel.)
3.763  23.6  100
3.081  29.0  34
2.716  33.0  88
2.534  35.4  42
2.319  38.8  35
2.258  39.9  44
2.173  41.6  69
1.961  46.3  27
1.739  52.6  25
1.456  63.9  40

---

No. 10
For AgAu3, a structure optimized by DFT (GGA-PBE) gives the simulated X-ray powder pattern in this record (Cu Ka).
No peak broadening, texture or thermal motion is included.

Structure:
```
data_AgAu3
_cell_length_a 4.153
_cell_length_b 4.153
_cell_length_c 8.434
_cell_angle_alpha 90.00
_cell_angle_beta 90.00
_cell_angle_gamma 90.00
_space_group_name_H-M_alt 'I 4/m m m'
_space_group_IT_number 139
_space_group_name_Hall '-I 4 2'
loop_
_atom_site_label
_atom_site_type_symbol
_atom_site_fract_x
_atom_site_fract_y
_atom_site_fract_z
Ag1 Ag 0.000 0.000 0.000
Au1 Au 0.000 0.000 0.500
Au2 Au 0.000 0.500 0.250
```

The 10 most intense peaks (2θ from 5° to 70°), sorted by position:
d_spacing  two_theta  I (rel.)
4.217  21.1  1
3.725  23.9  4
2.936  30.4  1
2.410  37.3  100
2.328  38.7  1
2.108  42.9  17
2.076  43.6  32
1.814  50.3  1
1.479  62.8  22
1.468  63.3  11

---

No. 11
For Na2Te4O9, a structure optimized by DFT (GGA-PBE) gives the simulated X-ray powder pattern in this record (Cu Ka).
No peak broadening, texture or thermal motion is included.

Structure:
```
data_Na2Te4O9
_cell_length_a 7.007
_cell_length_b 7.495
_cell_length_c 10.775
_cell_angle_alpha 109.56
_cell_angle_beta 91.06
_cell_angle_gamma 109.52
_space_group_name_H-M_alt 'P -1'
_space_group_IT_number 2
loop_
_space_group_symop_operation_xyz
'x,y,z'
'-x,-y,-z'
loop_
_atom_site_label
_atom_site_type_symbol
_atom_site_fract_x
_atom_site_fract_y
_atom_site_fract_z
Na1 Na 0.017 0.321 0.366
Na2 Na 0.480 0.719 0.486
Te1 Te 0.008 0.787 0.994
Te2 Te 0.023 0.823 0.329
Te3 Te 0.459 0.130 0.781
Te4 Te 0.475 0.290 0.199
O1 O 0.035 0.375 0.597
O2 O 0.040 0.344 0.860
O3 O 0.061 0.994 0.885
O4 O 0.282 0.183 0.665
O5 O 0.282 0.356 0.092
O6 O 0.333 0.997 0.116
O7 O 0.340 0.832 0.335
O8 O 0.340 0.840 0.698
O9 O 0.360 0.356 0.354
```

The 10 most intense peaks (2θ from 5° to 70°), sorted by position:
d_spacing  two_theta  I (rel.)
10.043  8.8  41
6.586  13.4  41
4.298  20.7  53
3.726  23.9  43
3.530  25.2  51
3.293  27.1  49
3.267  27.3  98
3.174  28.1  77
2.899  30.8  100
2.816  31.8  37